Record 1
Calculated powder diffraction line list
Compound: InSbO4
Radiation: Cu Kα, 1.54184 Å
Structure: DFT lattice parameters and positions (GGA-PBE)
Intensities are scaled so that the largest is 1000.

Structural model:
abc: 7.6317 5.3019 7.5277
angles: 90.00 100.79 90.00
Atoms (fractional coordinates):
In (0.1566, 0.2400, 0.3617)
In (0.1566, 0.2600, 0.8617)
In (0.8434, 0.7400, 0.1383)
In (0.8434, 0.7600, 0.6383)
Sb (0.3319, 0.7462, 0.1862)
Sb (0.3319, 0.7538, 0.6862)
Sb (0.6681, 0.2462, 0.3138)
Sb (0.6681, 0.2538, 0.8138)
O (0.1016, 0.5636, 0.1847)
O (0.1016, 0.9364, 0.6847)
O (0.1905, 0.0521, 0.1056)
O (0.1905, 0.4479, 0.6056)
O (0.3231, 0.6030, 0.9366)
O (0.3231, 0.8970, 0.4366)
O (0.4331, 0.0798, 0.8075)
O (0.4331, 0.4202, 0.3075)
O (0.5669, 0.5798, 0.6925)
O (0.5669, 0.9202, 0.1925)
O (0.6769, 0.1030, 0.5634)
O (0.6769, 0.3970, 0.0634)
O (0.8095, 0.5521, 0.3944)
O (0.8095, 0.9479, 0.8944)
O (0.8984, 0.0636, 0.3153)
O (0.8984, 0.4364, 0.8153)

Most intense lines, 10° ≤ 2θ ≤ 80°, in order of rising 2θ:
2theta	d_spacing	I_rel
23.74	3.748	249
29.18	3.061	1000
29.45	3.033	876
33.81	2.651	299
35.09	2.558	314
51.16	1.786	314

Record 2
Calculated powder diffraction line list
Compound: Sr2InSbO6
Radiation: Cu Kα, 1.54184 Å
Structure: DFT lattice parameters and positions (GGA-PBE)
Intensities are scaled so that the largest is 1000.

Structural model:
abc: 5.8261 5.8261 5.8261
angles: 60.00 60.00 60.00
Atoms (fractional coordinates):
Sr (0.2500, 0.2500, 0.2500)
Sr (0.7500, 0.7500, 0.7500)
In (0.0000, 0.0000, 0.0000)
Sb (0.5000, 0.5000, 0.5000)
O (0.2584, 0.2584, 0.7416)
O (0.2584, 0.7416, 0.2584)
O (0.2584, 0.7416, 0.7416)
O (0.7416, 0.2584, 0.2584)
O (0.7416, 0.2584, 0.7416)
O (0.7416, 0.7416, 0.2584)

Most intense lines, 10° ≤ 2θ ≤ 80°, in order of rising 2θ:
2theta	d_spacing	I_rel
21.57	4.120	80
30.69	2.913	1000
43.96	2.060	326
54.56	1.682	395
63.91	1.457	197
72.56	1.303	172

Record 3
Calculated powder diffraction line list
Compound: ScInO6
Radiation: Cu Kα, 1.54184 Å
Structure: DFT lattice parameters and positions (GGA-PBE)
Intensities are scaled so that the largest is 1000.

Structural model:
abc: 6.2471 6.2471 7.2847
angles: 124.44 124.44 71.08
Atoms (fractional coordinates):
Sc (0.0000, 0.5000, 0.0000)
Sc (0.5000, 0.0000, 0.0000)
In (0.0000, 0.5000, 0.5000)
In (0.5000, 0.0000, 0.5000)
O (0.0909, 0.8887, 0.3079)
O (0.1113, 0.9091, 0.6921)
O (0.2184, 0.5823, 0.9052)
O (0.3075, 0.3075, 0.2008)
O (0.3344, 0.3344, 0.4258)
O (0.4177, 0.7816, 0.0948)
O (0.5823, 0.2184, 0.9052)
O (0.6656, 0.6656, 0.5742)
O (0.6925, 0.6925, 0.7992)
O (0.7816, 0.4177, 0.0948)
O (0.8887, 0.0909, 0.3079)
O (0.9091, 0.1113, 0.6921)

Most intense lines, 10° ≤ 2θ ≤ 80°, in order of rising 2θ:
2theta	d_spacing	I_rel
24.40	3.648	1000
24.51	3.631	503
30.25	2.954	397
34.86	2.573	853
42.57	2.124	374
56.59	1.626	490

Record 4
Calculated powder diffraction line list
Compound: InSe2O6
Radiation: Cu Kα, 1.54184 Å
Structure: DFT lattice parameters and positions (GGA-PBE)
Intensities are scaled so that the largest is 1000.

Structural model:
abc: 6.8638 10.2205 8.7257
angles: 90.00 90.44 90.00
Atoms (fractional coordinates):
In (0.0491, 0.0090, 0.3001)
In (0.0491, 0.4910, 0.8001)
In (0.9509, 0.5090, 0.1999)
In (0.9509, 0.9910, 0.6999)
Se (0.0838, 0.7085, 0.4883)
Se (0.0838, 0.7915, 0.9883)
Se (0.4444, 0.0764, 0.7220)
Se (0.4444, 0.4236, 0.2220)
Se (0.5556, 0.5764, 0.7780)
Se (0.5556, 0.9236, 0.2780)
Se (0.9162, 0.2085, 0.0117)
Se (0.9162, 0.2915, 0.5117)
O (0.0230, 0.1313, 0.5081)
O (0.0230, 0.3687, 0.0081)
O (0.0472, 0.6760, 0.6786)
O (0.0472, 0.8240, 0.1786)
O (0.1011, 0.1203, 0.0972)
O (0.1011, 0.3797, 0.5972)
O (0.2677, 0.5420, 0.2322)
O (0.2677, 0.9580, 0.7322)
O (0.3607, 0.0053, 0.3538)
O (0.3607, 0.4947, 0.8538)
O (0.4943, 0.1382, 0.8940)
O (0.4943, 0.3618, 0.3940)
O (0.5057, 0.6382, 0.6060)
O (0.5057, 0.8618, 0.1060)
O (0.6393, 0.5053, 0.1462)
O (0.6393, 0.9947, 0.6462)
O (0.7323, 0.0420, 0.2678)
O (0.7323, 0.4580, 0.7678)
O (0.8989, 0.6203, 0.4028)
O (0.8989, 0.8797, 0.9028)
O (0.9528, 0.1760, 0.8214)
O (0.9528, 0.3240, 0.3214)
O (0.9770, 0.6313, 0.9919)
O (0.9770, 0.8687, 0.4919)

Most intense lines, 10° ≤ 2θ ≤ 80°, in order of rising 2θ:
2theta	d_spacing	I_rel
12.90	6.864	879
17.35	5.110	373
23.97	3.713	369
25.96	3.432	597
26.87	3.318	1000
37.58	2.393	367